Diffraction record for AcPa4W3N12. The powder diffraction line list is simulated, not measured: it uses a DFT-relaxed cell (PBE, Alexandria) and CuKα.
Intensities are scaled so that the largest is 100.

Top 9 peaks for 2θ from 10° to 80°, low angle first:
| two_theta | d/Å | I (rel.) |
| --- | --- | --- |
| 21.37 | 4.158 | 1 |
| 30.40 | 2.940 | 100 |
| 34.09 | 2.630 | 1 |
| 43.53 | 2.079 | 20 |
| 48.98 | 1.860 | 1 |
| 54.02 | 1.698 | 45 |
| 63.25 | 1.470 | 13 |
| 71.78 | 1.315 | 19 |
| 79.91 | 1.200 | 5 |

Crystal structure
```
AcPa4W3N12
1.0
-4.158 4.158 4.158
4.158 -4.158 4.158
4.158 4.158 -4.158
Ac Pa W N
1 4 3 12
Direct
0.000 0.000 0.000 Ac
0.000 0.000 0.500 Pa
0.000 0.500 0.000 Pa
0.500 0.000 0.000 Pa
0.500 0.500 0.500 Pa
0.000 0.500 0.500 W
0.500 0.000 0.500 W
0.500 0.500 0.000 W
0.159 0.319 0.478 N
0.159 0.681 0.840 N
0.160 0.841 0.319 N
0.319 0.160 0.841 N
0.319 0.478 0.159 N
0.478 0.159 0.319 N
0.522 0.841 0.681 N
0.681 0.522 0.841 N
0.681 0.840 0.159 N
0.840 0.159 0.681 N
0.841 0.319 0.160 N
0.841 0.681 0.522 N
```

=====

Diffraction record for Cd3In. The powder diffraction line list is simulated, not measured: it uses a DFT-relaxed cell (PBE, Alexandria) and CuKα.
Intensities are scaled so that the largest is 100.

Top 10 peaks for 2θ from 10° to 80°, low angle first:
| two_theta | d/Å | I (rel.) |
| --- | --- | --- |
| 29.67 | 3.011 | 18 |
| 34.58 | 2.594 | 100 |
| 34.95 | 2.567 | 11 |
| 35.14 | 2.554 | 30 |
| 39.28 | 2.294 | 27 |
| 49.02 | 1.858 | 11 |
| 59.46 | 1.555 | 12 |
| 62.68 | 1.482 | 17 |
| 64.54 | 1.444 | 12 |
| 70.97 | 1.328 | 13 |

Crystal structure
```
Cd3In
1.0
3.717 0.000 0.000
0.000 5.108 0.000
0.000 0.000 5.135
Cd In
3 1
Direct
0.000 0.000 0.000 Cd
0.000 0.500 0.352 Cd
0.500 0.000 0.492 Cd
0.500 0.500 0.852 In
```

=====

Diffraction record for PaNb5Tc6. The powder diffraction line list is simulated, not measured: it uses a DFT-relaxed cell (PBE, Alexandria) and CuKα.
Intensities are scaled so that the largest is 100.

Top 10 peaks for 2θ from 10° to 80°, low angle first:
| two_theta | d/Å | I (rel.) |
| --- | --- | --- |
| 15.11 | 5.863 | 3 |
| 23.84 | 3.732 | 3 |
| 27.23 | 3.275 | 3 |
| 39.39 | 2.287 | 100 |
| 39.59 | 2.277 | 20 |
| 56.79 | 1.621 | 7 |
| 57.07 | 1.614 | 13 |
| 71.30 | 1.323 | 7 |
| 71.43 | 1.321 | 20 |
| 71.69 | 1.316 | 13 |

Crystal structure
```
PaNb5Tc6
1.0
-2.277 3.242 6.863
2.277 -3.242 6.863
2.277 3.242 -6.863
Pa Nb Tc
1 5 6
Direct
0.000 0.000 0.000 Pa
0.176 0.676 0.500 Nb
0.335 0.335 0.000 Nb
0.500 0.000 0.500 Nb
0.665 0.665 0.000 Nb
0.824 0.324 0.500 Nb
0.081 0.832 0.249 Tc
0.252 0.500 0.752 Tc
0.418 0.168 0.249 Tc
0.582 0.832 0.751 Tc
0.748 0.500 0.248 Tc
0.919 0.168 0.751 Tc
```

=====

Diffraction record for Ce7Si2. The powder diffraction line list is simulated, not measured: it uses a DFT-relaxed cell (PBE, Alexandria) and CuKα.
Intensities are scaled so that the largest is 100.

Top 10 peaks for 2θ from 10° to 80°, low angle first:
| two_theta | d/Å | I (rel.) |
| --- | --- | --- |
| 22.06 | 4.029 | 25 |
| 27.92 | 3.195 | 7 |
| 34.56 | 2.595 | 100 |
| 35.75 | 2.512 | 84 |
| 50.57 | 1.805 | 31 |
| 53.62 | 1.709 | 9 |
| 61.93 | 1.498 | 18 |
| 62.70 | 1.482 | 33 |
| 72.23 | 1.308 | 15 |
| 72.89 | 1.298 | 11 |

Crystal structure
```
Ce7Si2
1.0
5.191 0.000 0.000
-2.595 4.495 0.000
0.000 0.000 9.086
Ce Si
7 2
Direct
0.000 0.000 0.000 Ce
0.000 0.000 0.313 Ce
0.000 0.000 0.687 Ce
0.333 0.667 0.193 Ce
0.333 0.667 0.504 Ce
0.667 0.333 0.496 Ce
0.667 0.333 0.807 Ce
0.333 0.667 0.845 Si
0.667 0.333 0.155 Si
```

=====

Diffraction record for BeHg2Pd6. The powder diffraction line list is simulated, not measured: it uses a DFT-relaxed cell (PBE, Alexandria) and CuKα.
Intensities are scaled so that the largest is 100.

Top 10 peaks for 2θ from 10° to 80°, low angle first:
| two_theta | d/Å | I (rel.) |
| --- | --- | --- |
| 13.72 | 6.452 | 14 |
| 29.81 | 2.997 | 12 |
| 36.80 | 2.442 | 34 |
| 36.95 | 2.433 | 18 |
| 38.56 | 2.335 | 100 |
| 41.11 | 2.195 | 30 |
| 41.89 | 2.156 | 17 |
| 42.07 | 2.148 | 35 |
| 48.06 | 1.893 | 23 |
| 74.27 | 1.277 | 20 |

Crystal structure
```
BeHg2Pd6
1.0
2.997 0.000 0.000
0.000 6.469 3.715
0.000 -6.469 3.715
Be Hg Pd
1 2 6
Direct
0.000 0.000 0.000 Be
0.500 0.328 0.665 Hg
0.500 0.665 0.328 Hg
0.000 0.359 0.997 Pd
0.000 0.625 0.625 Pd
0.000 0.997 0.359 Pd
0.500 0.241 0.241 Pd
0.500 0.758 0.993 Pd
0.500 0.993 0.758 Pd
```

=====

Diffraction record for AcErTaN3. The powder diffraction line list is simulated, not measured: it uses a DFT-relaxed cell (PBE, Alexandria) and CuKα.
Intensities are scaled so that the largest is 100.

Top 10 peaks for 2θ from 10° to 80°, low angle first:
| two_theta | d/Å | I (rel.) |
| --- | --- | --- |
| 11.35 | 7.797 | 27 |
| 15.00 | 5.908 | 22 |
| 16.65 | 5.325 | 30 |
| 27.68 | 3.222 | 26 |
| 27.82 | 3.207 | 23 |
| 30.26 | 2.954 | 59 |
| 33.48 | 2.676 | 29 |
| 33.66 | 2.663 | 22 |
| 33.88 | 2.646 | 79 |
| 34.33 | 2.612 | 100 |

Crystal structure
```
AcErTaN3
1.0
7.839 0.000 0.000
0.000 3.518 0.000
-0.836 0.000 8.029
Ac Er Ta N
2 2 2 6
Direct
0.175 0.250 0.175 Ac
0.825 0.750 0.825 Ac
0.385 0.750 0.851 Er
0.615 0.250 0.149 Er
0.120 0.250 0.585 Ta
0.880 0.750 0.415 Ta
0.159 0.750 0.462 N
0.162 0.250 0.829 N
0.403 0.750 0.126 N
0.597 0.250 0.874 N
0.838 0.750 0.171 N
0.841 0.250 0.538 N
```

=====

Diffraction record for ZrCd4As2. The powder diffraction line list is simulated, not measured: it uses a DFT-relaxed cell (PBE, Alexandria) and CuKα.
Intensities are scaled so that the largest is 100.

Top 10 peaks for 2θ from 10° to 80°, low angle first:
| two_theta | d/Å | I (rel.) |
| --- | --- | --- |
| 12.70 | 6.970 | 31 |
| 22.46 | 3.959 | 31 |
| 25.56 | 3.485 | 22 |
| 25.88 | 3.442 | 52 |
| 31.97 | 2.799 | 100 |
| 35.99 | 2.496 | 60 |
| 41.37 | 2.182 | 24 |
| 45.85 | 1.979 | 36 |
| 48.89 | 1.863 | 49 |
| 69.27 | 1.356 | 17 |

Crystal structure
```
ZrCd4As2
1.0
-2.799 2.799 6.970
2.799 -2.799 6.970
2.799 2.799 -6.970
Zr Cd As
1 4 2
Direct
0.000 0.000 0.000 Zr
0.000 0.500 0.500 Cd
0.212 0.212 0.000 Cd
0.500 0.000 0.500 Cd
0.788 0.788 0.000 Cd
0.409 0.409 0.000 As
0.591 0.591 0.000 As
```

=====

Diffraction record for NaVSn2Mo. The powder diffraction line list is simulated, not measured: it uses a DFT-relaxed cell (PBE, Alexandria) and CuKα.
Intensities are scaled so that the largest is 100.

Top 10 peaks for 2θ from 10° to 80°, low angle first:
| two_theta | d/Å | I (rel.) |
| --- | --- | --- |
| 17.02 | 5.210 | 36 |
| 19.32 | 4.593 | 23 |
| 31.12 | 2.874 | 100 |
| 34.43 | 2.605 | 67 |
| 39.23 | 2.297 | 23 |
| 39.78 | 2.266 | 15 |
| 49.48 | 1.842 | 24 |
| 53.17 | 1.723 | 38 |
| 59.62 | 1.551 | 32 |
| 64.89 | 1.437 | 21 |

Crystal structure
```
NaVSn2Mo
1.0
5.210 0.000 0.000
0.000 5.210 0.000
0.000 0.000 4.593
Na V Sn Mo
1 1 2 1
Direct
0.000 0.000 0.000 Na
0.500 0.500 0.500 V
0.000 0.500 0.500 Sn
0.500 0.000 0.500 Sn
0.500 0.500 0.000 Mo
```

=====

Diffraction record for Pr2Mn2Si2N. The powder diffraction line list is simulated, not measured: it uses a DFT-relaxed cell (PBE, Alexandria) and CuKα.
Intensities are scaled so that the largest is 100.

Top 10 peaks for 2θ from 10° to 80°, low angle first:
| two_theta | d/Å | I (rel.) |
| --- | --- | --- |
| 24.50 | 3.633 | 58 |
| 25.28 | 3.522 | 31 |
| 33.07 | 2.709 | 38 |
| 33.29 | 2.691 | 93 |
| 33.86 | 2.647 | 32 |
| 34.21 | 2.621 | 31 |
| 35.38 | 2.537 | 100 |
| 35.61 | 2.521 | 33 |
| 38.84 | 2.319 | 38 |
| 45.15 | 2.008 | 36 |

Crystal structure
```
Pr2Mn2Si2N
1.0
5.488 -2.008 0.000
5.488 2.008 0.000
-4.443 0.000 5.468
Pr Mn Si N
2 2 2 1
Direct
0.059 0.059 0.296 Pr
0.941 0.941 0.704 Pr
0.307 0.307 0.913 Mn
0.693 0.693 0.087 Mn
0.325 0.325 0.261 Si
0.675 0.675 0.739 Si
0.500 0.500 0.000 N
```

=====

Diffraction record for Li4Cu3O6. The powder diffraction line list is simulated, not measured: it uses a DFT-relaxed cell (PBE, Alexandria) and CuKα.
Intensities are scaled so that the largest is 100.

Top 10 peaks for 2θ from 10° to 80°, low angle first:
| two_theta | d/Å | I (rel.) |
| --- | --- | --- |
| 18.13 | 4.893 | 100 |
| 26.97 | 3.306 | 83 |
| 27.79 | 3.211 | 85 |
| 35.10 | 2.556 | 17 |
| 42.23 | 2.140 | 12 |
| 44.08 | 2.055 | 21 |
| 44.92 | 2.018 | 41 |
| 51.58 | 1.772 | 12 |
| 53.02 | 1.727 | 13 |
| 56.48 | 1.629 | 30 |

Crystal structure
```
Li4Cu3O6
1.0
5.118 -4.125 0.000
5.118 4.125 0.000
-3.089 0.000 6.612
Li Cu O
8 6 12
Direct
0.000 0.000 0.000 Li
0.056 0.382 0.291 Li
0.359 0.686 0.052 Li
0.382 0.056 0.291 Li
0.407 0.407 0.699 Li
0.651 0.975 0.602 Li
0.686 0.359 0.052 Li
0.975 0.651 0.602 Li
0.165 0.837 0.414 Cu
0.230 0.230 0.916 Cu
0.512 0.512 0.421 Cu
0.548 0.881 0.895 Cu
0.837 0.165 0.414 Cu
0.881 0.548 0.895 Cu
0.077 0.077 0.309 O
0.154 0.491 0.844 O
0.245 0.580 0.491 O
0.307 0.975 0.000 O
0.428 0.778 0.351 O
0.491 0.154 0.844 O
0.580 0.245 0.491 O
0.602 0.602 0.933 O
0.778 0.428 0.351 O
0.801 0.801 0.807 O
0.911 0.911 0.491 O
0.975 0.307 0.000 O
```

=====

Diffraction record for UBeSnO6. The powder diffraction line list is simulated, not measured: it uses a DFT-relaxed cell (PBE, Alexandria) and CuKα.
Intensities are scaled so that the largest is 100.

Top 10 peaks for 2θ from 10° to 80°, low angle first:
| two_theta | d/Å | I (rel.) |
| --- | --- | --- |
| 20.42 | 4.349 | 32 |
| 22.55 | 3.943 | 17 |
| 28.02 | 3.184 | 100 |
| 35.76 | 2.511 | 30 |
| 43.98 | 2.059 | 10 |
| 46.03 | 1.972 | 27 |
| 53.57 | 1.711 | 32 |
| 59.62 | 1.551 | 25 |
| 63.41 | 1.467 | 11 |
| 64.25 | 1.450 | 11 |

Crystal structure
```
UBeSnO6
1.0
5.022 0.000 0.000
-2.511 4.349 0.000
0.000 0.000 9.349
U Be Sn O
2 2 2 12
Direct
0.000 0.000 0.000 U
0.000 0.000 0.500 U
0.333 0.667 0.250 Be
0.667 0.333 0.750 Be
0.333 0.667 0.750 Sn
0.667 0.333 0.250 Sn
0.028 0.354 0.133 O
0.028 0.674 0.367 O
0.326 0.354 0.367 O
0.326 0.972 0.133 O
0.354 0.028 0.633 O
0.354 0.326 0.867 O
0.646 0.674 0.133 O
0.646 0.972 0.367 O
0.674 0.028 0.867 O
0.674 0.646 0.633 O
0.972 0.326 0.633 O
0.972 0.646 0.867 O
```

=====

Diffraction record for Pm8SmSc5. The powder diffraction line list is simulated, not measured: it uses a DFT-relaxed cell (PBE, Alexandria) and CuKα.
Intensities are scaled so that the largest is 100.

Top 10 peaks for 2θ from 10° to 80°, low angle first:
| two_theta | d/Å | I (rel.) |
| --- | --- | --- |
| 21.25 | 4.182 | 14 |
| 26.02 | 3.425 | 16 |
| 30.62 | 2.920 | 16 |
| 30.92 | 2.892 | 13 |
| 32.17 | 2.783 | 100 |
| 32.95 | 2.719 | 37 |
| 33.16 | 2.702 | 51 |
| 34.12 | 2.628 | 18 |
| 34.49 | 2.601 | 35 |
| 35.90 | 2.501 | 27 |

Crystal structure
```
Pm8SmSc5
1.0
8.176 0.000 0.000
-3.542 7.465 0.000
-3.297 -3.123 7.181
Pm Sm Sc
8 1 5
Direct
0.000 0.000 0.000 Pm
0.005 0.611 0.574 Pm
0.260 0.981 0.404 Pm
0.276 0.455 0.854 Pm
0.399 0.601 0.378 Pm
0.548 0.286 0.253 Pm
0.755 0.114 0.608 Pm
0.891 0.408 0.061 Pm
0.284 0.083 0.791 Sm
0.018 0.216 0.387 Sc
0.298 0.813 0.058 Sc
0.535 0.866 0.830 Sc
0.621 0.491 0.720 Sc
0.742 0.736 0.191 Sc
```

=====

Number 2 is which compound? Cd3In

=====

Repeat the second record exactly.
Diffraction record for Cd3In. The powder diffraction line list is simulated, not measured: it uses a DFT-relaxed cell (PBE, Alexandria) and CuKα.
Intensities are scaled so that the largest is 100.

Top 10 peaks for 2θ from 10° to 80°, low angle first:
| two_theta | d/Å | I (rel.) |
| --- | --- | --- |
| 29.67 | 3.011 | 18 |
| 34.58 | 2.594 | 100 |
| 34.95 | 2.567 | 11 |
| 35.14 | 2.554 | 30 |
| 39.28 | 2.294 | 27 |
| 49.02 | 1.858 | 11 |
| 59.46 | 1.555 | 12 |
| 62.68 | 1.482 | 17 |
| 64.54 | 1.444 | 12 |
| 70.97 | 1.328 | 13 |

Crystal structure
```
Cd3In
1.0
3.717 0.000 0.000
0.000 5.108 0.000
0.000 0.000 5.135
Cd In
3 1
Direct
0.000 0.000 0.000 Cd
0.000 0.500 0.352 Cd
0.500 0.000 0.492 Cd
0.500 0.500 0.852 In
```

=====

Repeat the fourth record exactly.
Diffraction record for Ce7Si2. The powder diffraction line list is simulated, not measured: it uses a DFT-relaxed cell (PBE, Alexandria) and CuKα.
Intensities are scaled so that the largest is 100.

Top 10 peaks for 2θ from 10° to 80°, low angle first:
| two_theta | d/Å | I (rel.) |
| --- | --- | --- |
| 22.06 | 4.029 | 25 |
| 27.92 | 3.195 | 7 |
| 34.56 | 2.595 | 100 |
| 35.75 | 2.512 | 84 |
| 50.57 | 1.805 | 31 |
| 53.62 | 1.709 | 9 |
| 61.93 | 1.498 | 18 |
| 62.70 | 1.482 | 33 |
| 72.23 | 1.308 | 15 |
| 72.89 | 1.298 | 11 |

Crystal structure
```
Ce7Si2
1.0
5.191 0.000 0.000
-2.595 4.495 0.000
0.000 0.000 9.086
Ce Si
7 2
Direct
0.000 0.000 0.000 Ce
0.000 0.000 0.313 Ce
0.000 0.000 0.687 Ce
0.333 0.667 0.193 Ce
0.333 0.667 0.504 Ce
0.667 0.333 0.496 Ce
0.667 0.333 0.807 Ce
0.333 0.667 0.845 Si
0.667 0.333 0.155 Si
```